PuMg2MoO8: calculated powder XRD pattern (copper Kα), based on DFT lattice parameters and positions (GGA+U).

Structural model:
abc: 4.5249 4.5249 9.2401
angles: 90.00 90.00 120.00
Space group P-3 (No. 147)
Asymmetric unit:
Pu1 0.0000 0.0000 0.0000 x1
Mg1 0.3333 0.6667 0.2478 x2
Mo1 0.0000 0.0000 0.5000 x1
O1 0.0340 0.6946 0.8630 x6
O2 0.3333 0.6667 0.4579 x2

Main lines, in order of rising 2θ (15° ≤ 2θ ≤ 90°):
| two_theta | d/Å | Rel. int. | (hkl) |
| --- | --- | --- | --- |
| 19.21 | 4.620 | 36 | 0 0 2 |
| 22.69 | 3.919 | 71 | 1 0 0 |
| 24.68 | 3.608 | 35 | 0 1 1 |
| 29.90 | 2.988 | 100 | 1 0 2 |
| 39.85 | 2.262 | 27 | 1 1 0 |
| 44.59 | 2.032 | 30 | 2 -1 2 |

---

Sr3GaFe2O8: calculated powder XRD pattern (copper Kα), based on DFT lattice parameters and positions (GGA+U).

Structural model:
abc: 5.6190 5.6190 7.2068
angles: 90.00 90.00 120.00
Space group P-3m1 (No. 164)
Asymmetric unit:
Sr1 0.0000 0.0000 0.0000 x1
Sr2 0.3333 0.6667 0.6398 x2
Ga1 0.0000 0.0000 0.5000 x1
Fe1 0.3333 0.6667 0.2101 x2
O1 0.1615 0.3230 0.3290 x6
O2 0.3333 0.6667 0.9617 x2

Main lines, in order of rising 2θ (15° ≤ 2θ ≤ 90°):
| two_theta | d/Å | Rel. int. | (hkl) |
| --- | --- | --- | --- |
| 30.88 | 2.896 | 70 | 0 1 2 |
| 31.85 | 2.809 | 100 | 1 1 0 |
| 44.95 | 2.016 | 44 | 2 0 2 |
| 56.15 | 1.638 | 26 | 1 2 2 |
| 56.75 | 1.622 | 18 | 3 0 0 |
| 66.57 | 1.405 | 17 | 2 2 0 |